[1]
Structure and theoretical powder diffractogram of Li4Zn3In (a GGA-PBE-relaxed structure; copper Kα).
Neutral-atom scattering factors, no anomalous dispersion.

```
data_Li4Zn3In
_chemical_formula_sum 'Li4 Zn3 In1'
_symmetry_space_group_name_H-M 'P -4 m 2'
_symmetry_Int_Tables_number 115
_symmetry_space_group_name_Hall 'P -4 -2'
_cell_length_a 4.3813
_cell_length_b 4.3813
_cell_length_c 6.2471
_cell_angle_alpha 90.00
_cell_angle_beta 90.00
_cell_angle_gamma 90.00
loop_
_atom_site_label
_atom_site_fract_x
_atom_site_fract_y
_atom_site_fract_z
_atom_site_occupancy
Li1 0.0000 0.0000 0.0000 1
Li2 0.0000 0.5000 0.7312 1
Li3 0.5000 0.5000 0.5000 1
Zn1 0.0000 0.0000 0.5000 1
Zn2 0.0000 0.5000 0.2703 1
In1 0.5000 0.5000 0.0000 1
```

Principal peaks in the range 5° ≤ 2θ ≤ 70°, in order of rising 2θ:
(hkl)  Position (°2θ)  d/Å  I_rel
1 0 1  24.82  3.587  100
1 1 1  32.25  2.776  4
1 1 2  41.03  2.200  64
2 0 0  41.21  2.191  33
1 0 3  48.40  1.881  15
2 1 1  48.70  1.870  31
0 0 4  59.16  1.562  5
2 2 0  59.69  1.549  10
2 1 3  65.40  1.427  12
3 0 1  65.65  1.422  6


[2]
Structure and theoretical powder diffractogram of HoEr2TmCd2 (a GGA-PBE-relaxed structure; copper Kα).
Neutral-atom scattering factors, no anomalous dispersion.

```
data_HoEr2TmCd2
_chemical_formula_sum 'Ho2 Er4 Tm2 Cd4'
_symmetry_space_group_name_H-M 'A m m 2'
_symmetry_Int_Tables_number 38
_symmetry_space_group_name_Hall 'A 2 -2'
_cell_length_a 5.3262
_cell_length_b 3.6146
_cell_length_c 16.8506
_cell_angle_alpha 90.00
_cell_angle_beta 90.00
_cell_angle_gamma 90.00
loop_
_atom_site_label
_atom_site_fract_x
_atom_site_fract_y
_atom_site_fract_z
_atom_site_occupancy
Ho1 0.0000 0.0000 0.0000 1
Er1 0.0000 0.0000 0.6854 1
Er2 0.5000 0.0000 0.1352 1
Tm1 0.5000 0.0000 0.8199 1
Cd1 0.0000 0.0000 0.3424 1
Cd2 0.5000 0.0000 0.4766 1
```

Principal peaks in the range 5° ≤ 2θ ≤ 70°, in order of rising 2θ:
(hkl)  Position (°2θ)  d/Å  I_rel
0 0 6  31.86  2.808  21
2 0 0  33.65  2.663  29
1 1 3  33.96  2.640  100
1 0 6  36.16  2.484  14
2 0 6  47.02  1.932  14
0 2 0  50.50  1.807  9
1 1 9  58.14  1.587  9
3 1 3  60.38  1.533  19
2 2 0  62.06  1.495  10
2 1 9  66.28  1.410  8


[3]
Structure and theoretical powder diffractogram of Cs2NaHgF6 (a GGA-PBE-relaxed structure; copper Kα).
Neutral-atom scattering factors, no anomalous dispersion.

```
data_Cs2NaHgF6
_chemical_formula_sum 'Cs4 Na2 Hg2 F12'
_symmetry_space_group_name_H-M 'P 4/m n c'
_symmetry_Int_Tables_number 128
_symmetry_space_group_name_Hall '-P 4 2n'
_cell_length_a 6.2347
_cell_length_b 6.2347
_cell_length_c 8.8246
_cell_angle_alpha 90.00
_cell_angle_beta 90.00
_cell_angle_gamma 90.00
loop_
_atom_site_label
_atom_site_fract_x
_atom_site_fract_y
_atom_site_fract_z
_atom_site_occupancy
Cs1 0.0000 0.5000 0.2500 1
Na1 0.0000 0.0000 0.0000 1
Hg1 0.0000 0.0000 0.5000 1
F1 0.0000 0.0000 0.2513 1
F2 0.2440 0.2531 0.5000 1
```

Principal peaks in the range 5° ≤ 2θ ≤ 70°, in order of rising 2θ:
(hkl)  Position (°2θ)  d/Å  I_rel
1 0 1  17.42  5.092  33
2 0 0  28.63  3.118  100
2 1 1  33.70  2.659  20
2 2 0  40.93  2.205  35
3 0 1  44.79  2.023  9
3 1 2  50.71  1.800  42
3 2 1  54.03  1.697  8
4 0 0  59.27  1.559  22
4 1 1  62.28  1.491  7
4 2 0  67.12  1.395  19


[4]
Structure and theoretical powder diffractogram of GaB3W4 (a GGA-PBE-relaxed structure; copper Kα).
Neutral-atom scattering factors, no anomalous dispersion.

```
data_GaB3W4
_chemical_formula_sum 'Ga2 B6 W8'
_symmetry_space_group_name_H-M 'P 63/m m c'
_symmetry_Int_Tables_number 194
_symmetry_space_group_name_Hall '-P 6c 2c'
_cell_length_a 3.1337
_cell_length_b 3.1337
_cell_length_c 23.5908
_cell_angle_alpha 90.00
_cell_angle_beta 90.00
_cell_angle_gamma 120.00
loop_
_atom_site_label
_atom_site_fract_x
_atom_site_fract_y
_atom_site_fract_z
_atom_site_occupancy
Ga1 0.3333 0.6667 0.2500 1
B1 0.0000 0.0000 0.0000 1
B2 0.3333 0.6667 0.6115 1
W1 0.0000 0.0000 0.1610 1
W2 0.3333 0.6667 0.0574 1
```

Principal peaks in the range 5° ≤ 2θ ≤ 70°, in order of rising 2θ:
(hkl)  Position (°2θ)  d/Å  I_rel
0 0 8  30.31  2.949  16
1 0 1  33.23  2.696  18
1 0 2  33.89  2.645  40
1 0 3  34.98  2.565  24
1 0 4  36.44  2.465  38
0 0 10  38.15  2.359  33
1 0 5  38.26  2.352  64
1 0 6  40.38  2.233  100
1 0 12  57.92  1.592  19
1 1 0  58.95  1.567  44


[5]
Structure and theoretical powder diffractogram of HoZr3 (a GGA-PBE-relaxed structure; copper Kα).
Neutral-atom scattering factors, no anomalous dispersion.

```
data_HoZr3
_chemical_formula_sum 'Ho4 Zr12'
_symmetry_space_group_name_H-M 'C m c m'
_symmetry_Int_Tables_number 63
_symmetry_space_group_name_Hall '-C 2c 2'
_cell_length_a 6.6243
_cell_length_b 11.4437
_cell_length_c 5.2170
_cell_angle_alpha 90.00
_cell_angle_beta 90.00
_cell_angle_gamma 90.00
loop_
_atom_site_label
_atom_site_fract_x
_atom_site_fract_y
_atom_site_fract_z
_atom_site_occupancy
Ho1 0.0000 0.0864 0.2500 1
Zr1 0.0000 0.4179 0.7500 1
Zr2 0.2411 0.3315 0.2500 1
```

Principal peaks in the range 5° ≤ 2θ ≤ 70°, in order of rising 2θ:
(hkl)  Position (°2θ)  d/Å  I_rel
0 4 0  31.22  2.865  24
0 0 2  34.38  2.609  25
2 2 1  35.76  2.511  100
0 4 2  47.12  1.929  15
4 0 0  55.49  1.656  6
2 6 0  55.60  1.653  12
2 2 3  62.48  1.487  19
4 0 2  66.93  1.398  7
2 6 2  67.03  1.396  14
4 4 1  67.81  1.382  10


[6]
Structure and theoretical powder diffractogram of Dy2TmFe7Co2 (a GGA-PBE-relaxed structure; copper Kα).
Neutral-atom scattering factors, no anomalous dispersion.

```
data_Dy2TmFe7Co2
_chemical_formula_sum 'Dy6 Tm3 Fe21 Co6'
_symmetry_space_group_name_H-M 'R -3 m'
_symmetry_Int_Tables_number 166
_symmetry_space_group_name_Hall '-R 3 2"'
_cell_length_a 5.0212
_cell_length_b 5.0212
_cell_length_c 24.3584
_cell_angle_alpha 90.00
_cell_angle_beta 90.00
_cell_angle_gamma 120.00
loop_
_atom_site_label
_atom_site_fract_x
_atom_site_fract_y
_atom_site_fract_z
_atom_site_occupancy
Dy1 0.0000 0.0000 0.1419 1
Tm1 0.0000 0.0000 0.0000 1
Fe1 0.0000 0.0000 0.5000 1
Fe2 0.0011 0.5005 0.0812 1
Co1 0.0000 0.0000 0.3324 1
```

Principal peaks in the range 5° ≤ 2θ ≤ 70°, in order of rising 2θ:
(hkl)  Position (°2θ)  d/Å  I_rel
1 0 1  20.75  4.281  14
1 0 7  32.97  2.717  53
1 1 0  35.76  2.511  57
0 1 8  36.01  2.494  35
0 2 1  41.71  2.166  37
1 1 6  42.33  2.135  100
2 1 7  62.50  1.486  17
1 2 8  64.42  1.446  13
0 3 6  68.80  1.365  33
2 0 14  69.15  1.358  13


[7]
Structure and theoretical powder diffractogram of ZnHIO4 (a GGA-PBE-relaxed structure; copper Kα).
Neutral-atom scattering factors, no anomalous dispersion.

```
data_ZnHIO4
_chemical_formula_sum 'Zn4 H4 I4 O16'
_symmetry_space_group_name_H-M 'C 1 c 1'
_symmetry_Int_Tables_number 9
_symmetry_space_group_name_Hall 'C -2yc'
_cell_length_a 4.6515
_cell_length_b 11.6320
_cell_length_c 6.2897
_cell_angle_alpha 90.00
_cell_angle_beta 91.26
_cell_angle_gamma 90.00
loop_
_atom_site_label
_atom_site_fract_x
_atom_site_fract_y
_atom_site_fract_z
_atom_site_occupancy
Zn1 0.0000 0.0339 0.0000 1
H1 0.3615 0.0590 0.7311 1
I1 0.0798 0.3040 0.7740 1
O1 0.1416 0.4498 0.8821 1
O2 0.1539 0.0748 0.7145 1
O3 0.2067 0.1761 0.1881 1
O4 0.2165 0.3303 0.5053 1
```

Principal peaks in the range 5° ≤ 2θ ≤ 70°, in order of rising 2θ:
(hkl)  Position (°2θ)  d/Å  I_rel
0 2 1  20.80  4.270  70
1 1 -1  24.77  3.594  69
1 1 1  25.26  3.526  100
1 3 0  30.01  2.978  84
0 2 2  32.37  2.766  65
0 4 1  33.96  2.639  56
1 1 -2  34.96  2.567  39
2 0 0  38.73  2.325  30
2 0 2  49.21  1.852  24
2 4 1  52.70  1.737  30


[8]
Structure and theoretical powder diffractogram of GdHoCu2P4 (a GGA-PBE-relaxed structure; copper Kα).
Neutral-atom scattering factors, no anomalous dispersion.

```
data_GdHoCu2P4
_chemical_formula_sum 'Gd1 Ho1 Cu2 P4'
_symmetry_space_group_name_H-M 'P 4 m m'
_symmetry_Int_Tables_number 99
_symmetry_space_group_name_Hall 'P 4 -2'
_cell_length_a 3.7240
_cell_length_b 3.7240
_cell_length_c 9.7353
_cell_angle_alpha 90.00
_cell_angle_beta 90.00
_cell_angle_gamma 90.00
loop_
_atom_site_label
_atom_site_fract_x
_atom_site_fract_y
_atom_site_fract_z
_atom_site_occupancy
Gd1 0.0000 0.0000 0.0000 1
Ho1 0.5000 0.5000 0.5371 1
Cu1 0.0000 0.5000 0.2702 1
P1 0.0000 0.0000 0.4260 1
P2 0.0000 0.5000 0.7662 1
P3 0.5000 0.5000 0.1154 1
```

Principal peaks in the range 5° ≤ 2θ ≤ 70°, in order of rising 2θ:
(hkl)  Position (°2θ)  d/Å  I_rel
0 0 1  9.08  9.735  14
1 0 1  25.61  3.478  73
1 0 3  36.73  2.447  40
0 0 4  36.93  2.434  20
1 1 2  38.88  2.316  100
2 0 0  48.92  1.862  30
1 0 5  53.08  1.725  15
2 1 1  56.02  1.642  18
2 1 3  62.70  1.482  17
2 0 4  62.84  1.479  16


[9]
Structure and theoretical powder diffractogram of SbTeOs (a GGA-PBE-relaxed structure; copper Kα).
Neutral-atom scattering factors, no anomalous dispersion.

```
data_SbTeOs
_chemical_formula_sum 'Sb4 Te4 Os4'
_symmetry_space_group_name_H-M 'P 1 21/c 1'
_symmetry_Int_Tables_number 14
_symmetry_space_group_name_Hall '-P 2ybc'
_cell_length_a 6.6856
_cell_length_b 6.5939
_cell_length_c 6.7576
_cell_angle_alpha 90.00
_cell_angle_beta 113.80
_cell_angle_gamma 90.00
loop_
_atom_site_label
_atom_site_fract_x
_atom_site_fract_y
_atom_site_fract_z
_atom_site_occupancy
Sb1 0.1398 0.1407 0.3859 1
Te1 0.3466 0.6348 0.6835 1
Os1 0.2763 0.0011 0.7959 1
```

Principal peaks in the range 5° ≤ 2θ ≤ 70°, in order of rising 2θ:
(hkl)  Position (°2θ)  d/Å  I_rel
1 1 -1  20.74  4.282  100
0 0 2  28.88  3.091  57
2 0 0  29.20  3.059  65
1 2 -1  31.44  2.845  92
0 1 2  31.97  2.799  47
2 1 0  32.26  2.775  55
1 1 -3  42.51  2.127  47
3 1 -1  42.96  2.105  75
1 3 -1  44.24  2.047  42
1 3 1  48.26  1.886  78


[10]
Structure and theoretical powder diffractogram of YCuB4 (a GGA-PBE-relaxed structure; copper Kα).
Neutral-atom scattering factors, no anomalous dispersion.

```
data_YCuB4
_chemical_formula_sum 'Y1 Cu1 B4'
_symmetry_space_group_name_H-M 'P 6/m m m'
_symmetry_Int_Tables_number 191
_symmetry_space_group_name_Hall '-P 6 2'
_cell_length_a 3.1973
_cell_length_b 3.1973
_cell_length_c 6.6541
_cell_angle_alpha 90.00
_cell_angle_beta 90.00
_cell_angle_gamma 120.00
loop_
_atom_site_label
_atom_site_fract_x
_atom_site_fract_y
_atom_site_fract_z
_atom_site_occupancy
Y1 0.0000 0.0000 0.0000 1
Cu1 0.0000 0.0000 0.5000 1
B1 0.3333 0.6667 0.2828 1
```

Principal peaks in the range 5° ≤ 2θ ≤ 70°, in order of rising 2θ:
(hkl)  Position (°2θ)  d/Å  I_rel
0 0 1  13.31  6.654  2
0 0 2  26.80  3.327  32
1 0 0  32.33  2.769  74
1 0 1  35.10  2.556  3
1 0 2  42.47  2.128  100
0 0 4  55.22  1.664  8
1 1 0  57.66  1.599  23
1 1 2  64.69  1.441  16
1 0 4  65.45  1.426  20
2 0 0  67.67  1.384  8


[11]
Structure and theoretical powder diffractogram of Tb2Sn5 (a GGA-PBE-relaxed structure; copper Kα).
Neutral-atom scattering factors, no anomalous dispersion.

```
data_Tb2Sn5
_chemical_formula_sum 'Tb4 Sn10'
_symmetry_space_group_name_H-M 'P m m n'
_symmetry_Int_Tables_number 59
_cell_length_a 4.3696
_cell_length_b 4.4488
_cell_length_c 19.1547
_cell_angle_alpha 90.00
_cell_angle_beta 90.00
_cell_angle_gamma 90.00
loop_
_symmetry_equiv_pos_as_xyz
'x,y,z'
'-x,-y,-z'
'-x+1/2,-y+1/2,z'
'x+1/2,y+1/2,-z'
'x+1/2,-y,-z'
'-x+1/2,y,z'
'-x,y+1/2,-z'
'x,-y+1/2,z'
loop_
_atom_site_label
_atom_site_fract_x
_atom_site_fract_y
_atom_site_fract_z
_atom_site_occupancy
Tb1 0.2500 0.2500 0.1291 1
Tb2 0.2500 0.7500 0.7001 1
Sn1 0.2500 0.2500 0.4244 1
Sn2 0.2500 0.2500 0.5769 1
Sn3 0.2500 0.2500 0.8434 1
Sn4 0.2500 0.7500 0.0015 1
Sn5 0.2500 0.7500 0.2648 1
```

Principal peaks in the range 5° ≤ 2θ ≤ 70°, in order of rising 2θ:
(hkl)  Position (°2θ)  d/Å  I_rel
1 1 2  30.15  2.964  17
1 1 3  31.95  2.801  100
0 0 7  32.73  2.736  48
1 1 4  34.32  2.613  100
0 2 0  40.56  2.224  37
2 0 0  41.32  2.185  35
0 2 7  53.06  1.726  25
2 0 7  53.68  1.707  24
2 2 0  59.29  1.559  25
2 2 7  69.42  1.354  34


[12]
Structure and theoretical powder diffractogram of Rb4CoGeTe6 (a GGA-PBE-relaxed structure; copper Kα).
Neutral-atom scattering factors, no anomalous dispersion.

```
data_Rb4CoGeTe6
_chemical_formula_sum 'Rb4 Co1 Ge1 Te6'
_symmetry_space_group_name_H-M 'P 1'
_symmetry_Int_Tables_number 1
_symmetry_space_group_name_Hall 'P 1'
_cell_length_a 7.3843
_cell_length_b 7.8198
_cell_length_c 10.1460
_cell_angle_alpha 70.77
_cell_angle_beta 71.82
_cell_angle_gamma 67.22
loop_
_atom_site_label
_atom_site_fract_x
_atom_site_fract_y
_atom_site_fract_z
_atom_site_occupancy
Rb1 0.0000 0.0000 0.0000 1
Rb2 0.2304 0.3286 0.2148 1
Rb3 0.4712 0.7155 0.4372 1
Rb4 0.7039 0.0457 0.6537 1
Co1 0.9810 0.4700 0.6596 1
Ge1 0.7122 0.5781 0.0163 1
Te1 0.0783 0.5490 0.8424 1
Te2 0.1782 0.1634 0.6026 1
Te3 0.5119 0.9219 0.0425 1
Te4 0.6335 0.4969 0.8058 1
Te5 0.7203 0.3122 0.2497 1
Te6 0.9898 0.6902 0.4255 1
```

Principal peaks in the range 5° ≤ 2θ ≤ 70°, in order of rising 2θ:
(hkl)  Position (°2θ)  d/Å  I_rel
1 0 1  14.61  6.064  22
2 1 1  24.22  3.675  54
0 2 1  24.94  3.570  100
0 1 -2  25.28  3.523  95
2 1 0  25.75  3.460  41
0 1 3  28.40  3.143  76
2 0 2  29.46  3.032  25
2 2 3  33.00  2.714  25
-2 1 1  35.42  2.534  35
0 3 -1  42.07  2.148  24


[13]
Structure and theoretical powder diffractogram of LaPrB2Pd6Pt2 (a GGA-PBE-relaxed structure; copper Kα).
Neutral-atom scattering factors, no anomalous dispersion.

```
data_LaPrB2Pd6Pt2
_chemical_formula_sum 'La1 Pr1 B2 Pd6 Pt2'
_symmetry_space_group_name_H-M 'P 6/m m m'
_symmetry_Int_Tables_number 191
_symmetry_space_group_name_Hall '-P 6 2'
_cell_length_a 5.5099
_cell_length_b 5.5099
_cell_length_c 7.6712
_cell_angle_alpha 90.00
_cell_angle_beta 90.00
_cell_angle_gamma 120.00
loop_
_atom_site_label
_atom_site_fract_x
_atom_site_fract_y
_atom_site_fract_z
_atom_site_occupancy
La1 0.0000 0.0000 0.0000 1
Pr1 0.0000 0.0000 0.5000 1
B1 0.3333 0.6667 0.0000 1
Pd1 0.0000 0.5000 0.1963 1
Pt1 0.3333 0.6667 0.5000 1
```

Principal peaks in the range 5° ≤ 2θ ≤ 70°, in order of rising 2θ:
(hkl)  Position (°2θ)  d/Å  I_rel
1 0 2  29.89  2.990  19
1 1 0  32.50  2.755  27
1 1 1  34.59  2.593  42
0 0 3  35.09  2.557  29
2 0 0  37.70  2.386  45
2 0 1  39.56  2.278  23
1 1 2  40.31  2.238  100
2 0 2  44.73  2.026  19
3 0 2  63.30  1.469  26
2 2 0  68.06  1.377  26